[1]
NaLuCl4: simulated X-ray diffraction stick pattern (Cu Kα), based on DFT lattice parameters and positions (GGA-PBE).
Lines closer than 0.1° are merged.

Cell and atoms:
Cell: 6.377 16.065 6.615 Å, 90.00 90.00 90.00°
Sites, in units of the cell vectors:
Na1 0.000 0.181 0.250
Na2 0.000 0.819 0.750
Na3 0.500 0.319 0.750
Na4 0.500 0.681 0.250
Lu1 0.000 0.428 0.250
Lu2 0.000 0.572 0.750
Lu3 0.500 0.072 0.750
Lu4 0.500 0.928 0.250
Cl1 0.227 0.451 0.574
Cl2 0.227 0.549 0.074
Cl3 0.235 0.319 0.100
Cl4 0.235 0.681 0.600
Cl5 0.265 0.181 0.600
Cl6 0.265 0.819 0.100
Cl7 0.273 0.049 0.074
Cl8 0.273 0.951 0.574
Cl9 0.727 0.049 0.426
Cl10 0.727 0.951 0.926
Cl11 0.735 0.181 0.900
Cl12 0.735 0.819 0.400
Cl13 0.765 0.319 0.400
Cl14 0.765 0.681 0.900
Cl15 0.773 0.451 0.926
Cl16 0.773 0.549 0.426

Largest 6 diffraction maxima, sorted by position, 2θ = 10–90°:
- d 8.033, intensity 41.6
- d 5.927, intensity 100.0
- d 5.106, intensity 48.7
- d 4.414, intensity 40.7
- d 3.485, intensity 55.7
- d 2.336, intensity 52.5


[2]
NdTlHgPb: simulated X-ray diffraction stick pattern (Cu Kα), based on DFT lattice parameters and positions (GGA-PBE).
Lines closer than 0.1° are merged.

Cell and atoms:
Cell: 4.717 4.775 4.920 Å, 90.00 90.00 90.00°
Sites, in units of the cell vectors:
Nd1 0.000 0.000 0.000
Tl1 0.500 0.000 0.500
Hg1 0.000 0.500 0.500
Pb1 0.500 0.500 0.000

Largest 6 diffraction maxima, sorted by position, 2θ = 10–90°:
- d 2.772, intensity 100.0
- d 2.460, intensity 18.1
- d 2.387, intensity 16.6
- d 2.359, intensity 16.1
- d 1.473, intensity 15.0
- d 1.442, intensity 14.0


[3]
PrSnTe2: simulated X-ray diffraction stick pattern (Cu Kα), based on DFT lattice parameters and positions (GGA-PBE).
Lines closer than 0.1° are merged.

Cell and atoms:
Cell: 12.588 12.588 5.032 Å, 90.00 90.00 160.92°
Sites, in units of the cell vectors:
Pr1 0.055 0.945 0.750
Pr2 0.945 0.055 0.250
Sn1 0.312 0.688 0.750
Sn2 0.688 0.312 0.250
Te1 0.185 0.815 0.750
Te2 0.443 0.557 0.750
Te3 0.557 0.443 0.250
Te4 0.815 0.185 0.250

Largest 6 diffraction maxima, sorted by position, 2θ = 10–90°:
- d 3.186, intensity 100.0
- d 3.104, intensity 56.8
- d 2.516, intensity 34.1
- d 2.381, intensity 70.2
- d 1.955, intensity 30.6
- d 1.426, intensity 36.1


[4]
Ce2AlAg2: simulated X-ray diffraction stick pattern (Cu Kα), based on DFT lattice parameters and positions (GGA-PBE).
Lines closer than 0.1° are merged.

Cell and atoms:
Cell: 7.477 7.477 3.261 Å, 90.00 90.00 142.52°
Sites, in units of the cell vectors:
Ce1 0.099 0.901 0.000
Ce2 0.901 0.099 0.000
Al1 0.500 0.500 0.500
Ag1 0.303 0.697 0.500
Ag2 0.697 0.303 0.500

Largest 6 diffraction maxima, sorted by position, 2θ = 10–90°:
- d 2.962, intensity 34.9
- d 2.650, intensity 96.5
- d 2.440, intensity 100.0
- d 2.401, intensity 78.7
- d 2.342, intensity 37.7
- d 1.356, intensity 30.0


[5]
Y2Th4N: simulated X-ray diffraction stick pattern (Cu Kα), based on DFT lattice parameters and positions (GGA-PBE).
Lines closer than 0.1° are merged.

Cell and atoms:
Cell: 9.307 9.307 9.307 Å, 148.41 148.41 45.28°
Sites, in units of the cell vectors:
Y1 0.149 0.149 0.000
Y2 0.851 0.851 0.000
Th1 0.000 0.500 0.500
Th2 0.361 0.361 0.000
Th3 0.500 0.000 0.500
Th4 0.639 0.639 0.000
N1 0.500 0.500 0.000

Largest 6 diffraction maxima, sorted by position, 2θ = 10–90°:
- d 8.590, intensity 37.8
- d 3.306, intensity 51.0
- d 2.751, intensity 100.0
- d 2.533, intensity 47.2
- d 1.897, intensity 23.4
- d 1.501, intensity 33.0


[6]
Ba5HfN4F2: simulated X-ray diffraction stick pattern (Cu Kα), based on DFT lattice parameters and positions (GGA-PBE).
Lines closer than 0.1° are merged.

Cell and atoms:
Cell: 7.903 6.256 6.256 Å, 117.60 90.00 90.00°
Sites, in units of the cell vectors:
Ba1 0.000 0.000 0.000
Ba2 0.280 0.309 0.669
Ba3 0.280 0.669 0.309
Ba4 0.720 0.309 0.669
Ba5 0.720 0.669 0.309
Hf1 0.500 0.012 0.012
N1 0.285 0.201 0.201
N2 0.500 0.663 0.980
N3 0.500 0.980 0.663
N4 0.715 0.201 0.201
F1 0.000 0.555 0.972
F2 0.000 0.972 0.555

Largest 6 diffraction maxima, sorted by position, 2θ = 10–90°:
- d 3.240, intensity 46.5
- d 3.218, intensity 87.5
- d 3.179, intensity 47.3
- d 3.125, intensity 100.0
- d 2.269, intensity 56.7
- d 1.807, intensity 31.0